1.
Structure and calculated powder diffraction line list of U20Si16C3 (the GGA-PBE geometry in OQMD; Cu Kα (λ = 1.5418 Å)).
Intensities are scaled so that the largest is 100.

Crystal structure
```
data_U20Si16C3
_chemical_formula_sum 'U20 Si16 C3'
_symmetry_space_group_name_H-M 'P 1'
_symmetry_Int_Tables_number 1
_symmetry_space_group_name_Hall 'P 1'
_cell_length_a 10.338
_cell_length_b 10.338
_cell_length_c 7.827
_cell_angle_alpha 90.00
_cell_angle_beta 90.00
_cell_angle_gamma 120.00
loop_
_atom_site_label
_atom_site_type_symbol
_atom_site_fract_x
_atom_site_fract_y
_atom_site_fract_z
_atom_site_occupancy
U1 U 0.000 0.000 0.000 1
U2 U 0.000 0.000 0.500 1
U3 U 0.000 0.500 0.200 1
U4 U 0.000 0.500 0.800 1
U5 U 0.212 0.424 0.000 1
U6 U 0.212 0.788 0.000 1
U7 U 0.217 0.434 0.500 1
U8 U 0.217 0.783 0.500 1
U9 U 0.424 0.212 0.000 1
U10 U 0.434 0.217 0.500 1
U11 U 0.500 0.000 0.200 1
U12 U 0.500 0.000 0.800 1
U13 U 0.500 0.500 0.200 1
U14 U 0.500 0.500 0.800 1
U15 U 0.566 0.783 0.500 1
U16 U 0.576 0.788 0.000 1
U17 U 0.783 0.217 0.500 1
U18 U 0.783 0.566 0.500 1
U19 U 0.788 0.212 0.000 1
U20 U 0.788 0.576 0.000 1
Si1 Si 0.000 0.227 0.252 1
Si2 Si 0.000 0.227 0.748 1
Si3 Si 0.000 0.773 0.252 1
Si4 Si 0.000 0.773 0.748 1
Si5 Si 0.227 0.000 0.252 1
Si6 Si 0.227 0.000 0.748 1
Si7 Si 0.227 0.227 0.252 1
Si8 Si 0.227 0.227 0.748 1
Si9 Si 0.333 0.667 0.244 1
Si10 Si 0.333 0.667 0.756 1
Si11 Si 0.667 0.333 0.244 1
Si12 Si 0.667 0.333 0.756 1
Si13 Si 0.773 0.000 0.252 1
Si14 Si 0.773 0.000 0.748 1
Si15 Si 0.773 0.773 0.252 1
Si16 Si 0.773 0.773 0.748 1
C1 C 0.000 0.500 0.500 1
C2 C 0.500 0.000 0.500 1
C3 C 0.500 0.500 0.500 1
```

Peak list (10 most intense, 10° ≤ 2θ ≤ 80°, low angle first)
2θ (°)	I/Imax
26.3	28
30.3	25
34.7	21
35.1	100
40.3	24
46.4	10
54.2	16
56.5	15
58.5	21
76.8	12

***

2.
Structure and calculated powder diffraction line list of PrDy2Al3Ge2Ir (the GGA-PBE geometry in OQMD; Cu Kα (λ = 1.5418 Å)).
Intensities are scaled so that the largest is 100.

Crystal structure
```
data_PrDy2Al3Ge2Ir
_chemical_formula_sum 'Pr1 Dy2 Al3 Ge2 Ir1'
_symmetry_space_group_name_H-M 'P 1'
_symmetry_Int_Tables_number 1
_symmetry_space_group_name_Hall 'P 1'
_cell_length_a 4.261
_cell_length_b 7.078
_cell_length_c 7.078
_cell_angle_alpha 120.23
_cell_angle_beta 90.00
_cell_angle_gamma 90.00
loop_
_atom_site_label
_atom_site_type_symbol
_atom_site_fract_x
_atom_site_fract_y
_atom_site_fract_z
_atom_site_occupancy
Pr1 Pr 0.000 0.000 0.000 1
Dy1 Dy 0.000 0.175 0.586 1
Dy2 Dy 0.000 0.586 0.175 1
Al1 Al 0.500 0.359 0.359 1
Al2 Al 0.500 0.581 0.810 1
Al3 Al 0.500 0.810 0.581 1
Ge1 Ge 0.500 0.257 0.914 1
Ge2 Ge 0.500 0.914 0.257 1
Ir1 Ir 0.000 0.576 0.576 1
```

Peak list (10 most intense, 10° ≤ 2θ ≤ 80°, low angle first)
2θ (°)	I/Imax
20.8	34
25.2	30
29.2	24
32.9	53
36.1	100
42.4	25
44.5	28
44.6	16
52.3	15
70.5	17